# 1
Diffraction record for Sr2FeN2. The PXRD pattern is computed, not measured: it uses a DFT-relaxed cell (GGA-PBE, the Materials Project) and Cu Kα X-rays.

The 6 most intense peaks (15° ≤ 2θ ≤ 90°), by intensity:
31.3 deg, I 100
31.9 deg, I 56
30.0 deg, I 45
33.8 deg, I 44
30.2 deg, I 40
40.6 deg, I 25

Structural model:
```
data_Sr2FeN2
_cell_length_a 6.5519
_cell_length_b 8.6672
_cell_length_c 8.8904
_cell_angle_alpha 90.13
_cell_angle_beta 109.55
_cell_angle_gamma 102.25
_symmetry_space_group_name_H-M 'P -1'
_symmetry_Int_Tables_number 2
_symmetry_space_group_name_Hall '-P 1'
loop_
_atom_site_label
_atom_site_fract_x
_atom_site_fract_y
_atom_site_fract_z
Sr1 0.1093 0.3492 0.1801
Sr2 0.1438 0.3645 0.6431
Sr3 0.2307 0.0654 0.9351
Sr4 0.3694 0.7979 0.2674
Sr5 0.3825 0.8021 0.6678
Fe1 0.1005 0.0296 0.4079
Fe2 0.4139 0.6072 0.9794
Fe3 0.5000 0.5000 0.5000
N1 0.1977 0.0564 0.2387
N2 0.2001 0.0596 0.6316
N3 0.2382 0.5690 0.4312
N4 0.2937 0.3936 0.9592
N5 0.3210 0.7863 0.9555
```


# 2
Diffraction record for Sr3Fe2N4. The PXRD pattern is computed, not measured: it uses a DFT-relaxed cell (GGA-PBE, the Materials Project) and Cu Kα X-rays.

The 6 most intense peaks (15° ≤ 2θ ≤ 90°), by intensity:
31.6 deg, I 100
29.7 deg, I 62
34.6 deg, I 38
42.3 deg, I 32
41.7 deg, I 29
42.0 deg, I 26

Structural model:
```
data_Sr3Fe2N4
_cell_length_a 11.2220
_cell_length_b 8.6029
_cell_length_c 5.5039
_cell_angle_alpha 90.00
_cell_angle_beta 94.68
_cell_angle_gamma 90.00
_symmetry_space_group_name_H-M 'C 1 2/c 1'
_symmetry_Int_Tables_number 15
_symmetry_space_group_name_Hall '-C 2yc'
loop_
_atom_site_label
_atom_site_fract_x
_atom_site_fract_y
_atom_site_fract_z
Sr1 0.0000 0.0964 0.2500
Sr2 0.1255 0.3655 0.5559
Fe1 0.2099 0.1267 0.9277
N1 0.1275 0.3109 0.0289
N2 0.1780 0.0529 0.6111
```


# 3
Diffraction record for Sr3Fe3N5. The PXRD pattern is computed, not measured: it uses a DFT-relaxed cell (GGA-PBE, the Materials Project) and Cu Kα X-rays.

The 6 most intense peaks (15° ≤ 2θ ≤ 90°), by intensity:
34.2 deg, I 100
32.8 deg, I 95
32.5 deg, I 75
29.9 deg, I 61
34.3 deg, I 53
38.6 deg, I 40

Structural model:
```
data_Sr3Fe3N5
_cell_length_a 5.5732
_cell_length_b 7.1418
_cell_length_c 8.5190
_cell_angle_alpha 108.65
_cell_angle_beta 102.78
_cell_angle_gamma 95.73
_symmetry_space_group_name_H-M 'P -1'
_symmetry_Int_Tables_number 2
_symmetry_space_group_name_Hall '-P 1'
loop_
_atom_site_label
_atom_site_fract_x
_atom_site_fract_y
_atom_site_fract_z
Sr1 0.1603 0.1797 0.2111
Sr2 0.1608 0.3608 0.8747
Sr3 0.3142 0.9160 0.6112
Fe1 0.1767 0.4630 0.5745
Fe2 0.4099 0.6090 0.2943
Fe3 0.4108 0.8219 0.9777
N1 0.1464 0.5549 0.3872
N2 0.2608 0.0293 0.9199
N3 0.2983 0.2227 0.5330
N4 0.3350 0.7237 0.1317
N5 0.4193 0.6189 0.7808
```


# 4
Diffraction record for Ta4Fe2N. The PXRD pattern is computed, not measured: it uses a DFT-relaxed cell (GGA-PBE, the Materials Project) and Cu Kα X-rays.

The 6 most intense peaks (15° ≤ 2θ ≤ 90°), by intensity:
40.3 deg, I 100
37.9 deg, I 49
33.6 deg, I 48
68.5 deg, I 42
44.1 deg, I 40
82.6 deg, I 18

Structural model:
a b c (Å): 11.6211 11.6211 11.6211
angles (deg): 90.00 90.00 90.00
Space group Fd-3m (No. 227, origin choice 2)
Symmetry-distinct sites (fractional):
Ta: 0.0000 0.0000 0.0000
Ta: 0.0633 0.3750 0.8750
Fe: 0.0369 0.0369 0.2131
N: 0.0000 0.0000 0.5000


# 5
Diffraction record for Tb2Fe17N3. The PXRD pattern is computed, not measured: it uses a DFT-relaxed cell (GGA-PBE, the Materials Project) and Cu Kα X-rays.

The 6 most intense peaks (15° ≤ 2θ ≤ 90°), by intensity:
42.2 deg, I 100
41.9 deg, I 78
43.1 deg, I 57
29.7 deg, I 44
36.1 deg, I 39
61.7 deg, I 34

Structural model:
```
data_Tb2Fe17N3
_cell_length_a 8.6265
_cell_length_b 8.6265
_cell_length_c 12.5831
_cell_angle_alpha 90.00
_cell_angle_beta 90.00
_cell_angle_gamma 120.00
_symmetry_space_group_name_H-M 'R -3 m'
_symmetry_Int_Tables_number 166
_symmetry_space_group_name_Hall '-R 3 2"'
loop_
_atom_site_label
_atom_site_fract_x
_atom_site_fract_y
_atom_site_fract_z
Tb1 0.0000 0.0000 0.1587
Fe1 0.0000 0.0000 0.4049
Fe2 0.0000 0.2821 0.5000
Fe3 0.0000 0.5000 0.0000
Fe4 0.0092 0.5046 0.3475
N1 0.0000 0.5000 0.5000
```


# 6
Diffraction record for Tb2Fe17N2. The PXRD pattern is computed, not measured: it uses a DFT-relaxed cell (GGA-PBE, the Materials Project) and Cu Kα X-rays.

The 6 most intense peaks (15° ≤ 2θ ≤ 90°), by intensity:
42.5 deg, I 100
41.8 deg, I 72
43.6 deg, I 64
29.8 deg, I 43
37.6 deg, I 42
36.3 deg, I 41

Structural model:
```
data_Tb2Fe17N2
_cell_length_a 9.6823
_cell_length_b 8.5392
_cell_length_c 6.5178
_cell_angle_alpha 90.00
_cell_angle_beta 98.59
_cell_angle_gamma 90.00
_symmetry_space_group_name_H-M 'C 1 2/m 1'
_symmetry_Int_Tables_number 12
_symmetry_space_group_name_Hall '-C 2y'
loop_
_atom_site_label
_atom_site_fract_x
_atom_site_fract_y
_atom_site_fract_z
Tb1 0.1590 0.0000 0.3440
Fe1 0.0000 0.2087 0.0000
Fe2 0.0000 0.5000 0.5000
Fe3 0.0957 0.5000 0.9049
Fe4 0.0990 0.2539 0.6604
Fe5 0.1409 0.3572 0.2823
Fe6 0.1554 0.0000 0.8551
Fe7 0.2500 0.2500 0.0000
N1 0.2500 0.2500 0.5000
```


# 7
Diffraction record for TbTiFe11N. The PXRD pattern is computed, not measured: it uses a DFT-relaxed cell (GGA-PBE, the Materials Project) and Cu Kα X-rays.

The 6 most intense peaks (15° ≤ 2θ ≤ 90°), by intensity:
42.3 deg, I 100
43.0 deg, I 92
42.4 deg, I 55
41.9 deg, I 37
48.2 deg, I 27
36.4 deg, I 26

Structural model:
```
data_TbTiFe11N
_cell_length_a 4.8204
_cell_length_b 8.6280
_cell_length_c 8.5498
_cell_angle_alpha 90.00
_cell_angle_beta 90.00
_cell_angle_gamma 90.00
_symmetry_space_group_name_H-M 'I m m 2'
_symmetry_Int_Tables_number 44
_symmetry_space_group_name_Hall 'I 2 -2'
loop_
_atom_site_label
_atom_site_fract_x
_atom_site_fract_y
_atom_site_fract_z
Tb1 0.0000 0.0000 0.0000
Ti1 0.0000 0.0000 0.6285
Fe1 0.0000 0.0000 0.3512
Fe2 0.0000 0.2771 0.4907
Fe3 0.0000 0.3592 0.9933
Fe4 0.0000 0.5000 0.2709
Fe5 0.0000 0.5000 0.7196
Fe6 0.2493 0.2478 0.2445
N1 0.0000 0.5000 0.4948
```


# 8
Diffraction record for Fe4Te3N2. The PXRD pattern is computed, not measured: it uses a DFT-relaxed cell (GGA-PBE, the Materials Project) and Cu Kα X-rays.

The 6 most intense peaks (15° ≤ 2θ ≤ 90°), by intensity:
32.9 deg, I 100
27.3 deg, I 99
35.1 deg, I 99
35.4 deg, I 85
45.9 deg, I 51
34.1 deg, I 36

Structural model:
```
data_Fe4Te3N2
_cell_length_a 6.1790
_cell_length_b 10.5159
_cell_length_c 9.1011
_cell_angle_alpha 90.00
_cell_angle_beta 90.00
_cell_angle_gamma 90.00
_symmetry_space_group_name_H-M 'P n m a'
_symmetry_Int_Tables_number 62
_symmetry_space_group_name_Hall '-P 2ac 2n'
loop_
_atom_site_label
_atom_site_fract_x
_atom_site_fract_y
_atom_site_fract_z
Fe1 0.1570 0.2500 0.0490
Fe2 0.1832 0.0129 0.9415
Fe3 0.1942 0.7500 0.0757
Te1 0.0731 0.5670 0.6690
Te2 0.0920 0.7500 0.3385
N1 0.0378 0.6233 0.0109
```


# 9
Diffraction record for TiFe3N. The PXRD pattern is computed, not measured: it uses a DFT-relaxed cell (GGA-PBE, the Materials Project) and Cu Kα X-rays.

The 6 most intense peaks (15° ≤ 2θ ≤ 90°), by intensity:
41.9 deg, I 100
48.7 deg, I 58
71.4 deg, I 33
86.3 deg, I 32
23.8 deg, I 5
54.9 deg, I 2

Structural model:
```
data_TiFe3N
_cell_length_a 3.7380
_cell_length_b 3.7380
_cell_length_c 3.7380
_cell_angle_alpha 90.00
_cell_angle_beta 90.00
_cell_angle_gamma 90.00
_symmetry_space_group_name_H-M 'P m -3 m'
_symmetry_Int_Tables_number 221
_symmetry_space_group_name_Hall '-P 4 2 3'
loop_
_atom_site_label
_atom_site_fract_x
_atom_site_fract_y
_atom_site_fract_z
Ti1 0.0000 0.0000 0.0000
Fe1 0.0000 0.5000 0.5000
N1 0.5000 0.5000 0.5000
```


# 10
Diffraction record for TiFeN2. The PXRD pattern is computed, not measured: it uses a DFT-relaxed cell (GGA-PBE, the Materials Project) and Cu Kα X-rays.

The 6 most intense peaks (15° ≤ 2θ ≤ 90°), by intensity:
37.5 deg, I 100
30.2 deg, I 96
44.0 deg, I 67
38.0 deg, I 59
54.6 deg, I 45
30.9 deg, I 43

Structural model:
```
data_TiFeN2
_cell_length_a 5.7835
_cell_length_b 4.1153
_cell_length_c 6.8749
_cell_angle_alpha 90.00
_cell_angle_beta 90.00
_cell_angle_gamma 90.00
_symmetry_space_group_name_H-M 'P n m a'
_symmetry_Int_Tables_number 62
_symmetry_space_group_name_Hall '-P 2ac 2n'
loop_
_atom_site_label
_atom_site_fract_x
_atom_site_fract_y
_atom_site_fract_z
Ti1 0.1146 0.2500 0.1220
Fe1 0.0636 0.2500 0.6559
N1 0.0400 0.7500 0.6184
N2 0.1067 0.7500 0.1059
```


# 11
Diffraction record for TiFeN2. The PXRD pattern is computed, not measured: it uses a DFT-relaxed cell (GGA-PBE, the Materials Project) and Cu Kα X-rays.

The 6 most intense peaks (15° ≤ 2θ ≤ 90°), by intensity:
40.3 deg, I 100
46.1 deg, I 35
63.1 deg, I 29
38.7 deg, I 19
71.1 deg, I 19
76.6 deg, I 15

Structural model:
```
data_TiFeN2
_cell_length_a 2.9434
_cell_length_b 5.1028
_cell_length_c 9.3151
_cell_angle_alpha 90.00
_cell_angle_beta 90.00
_cell_angle_gamma 90.00
_symmetry_space_group_name_H-M 'C m c m'
_symmetry_Int_Tables_number 63
_symmetry_space_group_name_Hall '-C 2c 2'
loop_
_atom_site_label
_atom_site_fract_x
_atom_site_fract_y
_atom_site_fract_z
Ti1 0.0000 0.1689 0.2500
Fe1 0.0000 0.5000 0.0000
N1 0.0000 0.1663 0.6126
```